No. 1
The following is a calculated X-ray powder pattern of AlSn2S6. It was derived from a structure optimized by DFT (PBE), using Cu Kα (weighted mean of Kα1 and Kα2).
Lines closer than 0.1° are merged.

Cell and atoms:
abc: 5.991 5.991 11.194
angles: 90.00 90.00 90.00
Positions (direct):
Al 0.000 0.000 0.000
Al 0.500 0.500 0.500
Sn 0.000 0.000 0.333
Sn 0.000 0.000 0.667
Sn 0.500 0.500 0.167
Sn 0.500 0.500 0.833
S 0.188 0.188 0.158
S 0.188 0.188 0.842
S 0.204 0.204 0.500
S 0.296 0.704 0.000
S 0.312 0.688 0.342
S 0.312 0.688 0.658
S 0.688 0.312 0.342
S 0.688 0.312 0.658
S 0.704 0.296 0.000
S 0.796 0.796 0.500
S 0.812 0.812 0.158
S 0.812 0.812 0.842

Top 10 peaks for 2θ = 10–90°, sorted by position:
5.282 Å, 2θ = 16.78°, intensity 25.1; 4.236 Å, 2θ = 20.97°, intensity 100.0; 3.167 Å, 2θ = 28.17°, intensity 43.6; 2.800 Å, 2θ = 31.96°, intensity 27.0; 2.606 Å, 2θ = 34.42°, intensity 12.6; 2.176 Å, 2θ = 41.49°, intensity 80.3; 2.118 Å, 2θ = 42.69°, intensity 26.0; 1.761 Å, 2θ = 51.93°, intensity 37.8; 1.707 Å, 2θ = 53.68°, intensity 16.0; 1.400 Å, 2θ = 66.82°, intensity 13.6

No. 2
The following is a calculated X-ray powder pattern of Al2SnS4. It was derived from a structure optimized by DFT (PBE), using Cu Kα (weighted mean of Kα1 and Kα2).
Lines closer than 0.1° are merged.

Cell and atoms:
abc: 7.525 7.525 7.525
angles: 103.67 103.67 121.84
Positions (direct):
Al 0.375 0.195 0.320
Al 0.805 0.125 0.180
Al 0.875 0.055 0.680
Al 0.945 0.625 0.820
Sn 0.250 0.750 0.500
Sn 0.500 0.500 0.000
S 0.063 0.807 0.161
S 0.099 0.937 0.744
S 0.105 0.443 0.756
S 0.193 0.355 0.256
S 0.557 0.313 0.661
S 0.645 0.901 0.839
S 0.651 0.895 0.339
S 0.687 0.349 0.244

Top 10 peaks for 2θ = 10–90°, sorted by position:
5.750 Å, 2θ = 15.41°, intensity 39.4; 4.650 Å, 2θ = 19.08°, intensity 57.9; 3.616 Å, 2θ = 24.62°, intensity 100.0; 3.197 Å, 2θ = 27.91°, intensity 65.4; 2.855 Å, 2θ = 31.34°, intensity 51.5; 2.433 Å, 2θ = 36.95°, intensity 60.5; 2.359 Å, 2θ = 38.15°, intensity 39.3; 2.325 Å, 2θ = 38.73°, intensity 33.8; 2.292 Å, 2θ = 39.31°, intensity 62.6; 1.880 Å, 2θ = 48.41°, intensity 29.0

No. 3
The following is a calculated X-ray powder pattern of SrTbAlS4. It was derived from a structure optimized by DFT (PBE), using Cu Kα (weighted mean of Kα1 and Kα2).
Lines closer than 0.1° are merged.

Cell and atoms:
abc: 6.542 6.670 8.061
angles: 90.00 107.10 90.00
Positions (direct):
Sr 0.248 0.250 0.438
Sr 0.752 0.750 0.562
Tb 0.281 0.250 0.947
Tb 0.719 0.750 0.053
Al 0.258 0.750 0.180
Al 0.742 0.250 0.820
S 0.052 0.750 0.907
S 0.058 0.750 0.360
S 0.498 0.003 0.230
S 0.498 0.497 0.230
S 0.502 0.503 0.770
S 0.502 0.997 0.770
S 0.942 0.250 0.640
S 0.948 0.250 0.093

Top 10 peaks for 2θ = 10–90°, sorted by position:
7.704 Å, 2θ = 11.49°, intensity 40.7; 4.562 Å, 2θ = 19.46°, intensity 100.0; 3.335 Å, 2θ = 26.73°, intensity 64.9; 2.919 Å, 2θ = 30.62°, intensity 27.8; 2.674 Å, 2θ = 33.51°, intensity 55.8; 2.641 Å, 2θ = 33.94°, intensity 52.9; 2.521 Å, 2θ = 35.61°, intensity 35.2; 2.512 Å, 2θ = 35.74°, intensity 33.6; 2.281 Å, 2θ = 39.51°, intensity 34.6; 2.014 Å, 2θ = 45.00°, intensity 30.9

No. 4
The following is a calculated X-ray powder pattern of SrYAlS4. It was derived from a structure optimized by DFT (PBE), using Cu Kα (weighted mean of Kα1 and Kα2).
Lines closer than 0.1° are merged.

Cell and atoms:
abc: 6.539 6.676 8.049
angles: 90.00 107.08 90.00
Positions (direct):
Sr 0.248 0.250 0.439
Sr 0.752 0.750 0.561
Y 0.281 0.250 0.947
Y 0.719 0.750 0.053
Al 0.258 0.750 0.179
Al 0.742 0.250 0.821
S 0.050 0.750 0.907
S 0.058 0.750 0.359
S 0.498 0.002 0.229
S 0.498 0.498 0.229
S 0.502 0.502 0.771
S 0.502 0.998 0.771
S 0.942 0.250 0.641
S 0.950 0.250 0.093

Top 10 peaks for 2θ = 10–90°, sorted by position:
4.563 Å, 2θ = 19.45°, intensity 100.0; 3.337 Å, 2θ = 26.71°, intensity 77.7; 2.917 Å, 2θ = 30.65°, intensity 36.4; 2.874 Å, 2θ = 31.12°, intensity 37.0; 2.672 Å, 2θ = 33.53°, intensity 76.7; 2.639 Å, 2θ = 33.96°, intensity 70.5; 2.521 Å, 2θ = 35.61°, intensity 47.7; 2.512 Å, 2θ = 35.74°, intensity 46.1; 2.281 Å, 2θ = 39.50°, intensity 46.0; 2.012 Å, 2θ = 45.06°, intensity 47.6

No. 5
The following is a calculated X-ray powder pattern of Ta2Al2S7. It was derived from a structure optimized by DFT (PBE), using Cu Kα (weighted mean of Kα1 and Kα2).
Lines closer than 0.1° are merged.

Cell and atoms:
abc: 6.289 6.289 6.620
angles: 97.25 97.25 105.41
Positions (direct):
Ta 0.152 0.848 0.000
Ta 0.848 0.152 0.000
Al 0.264 0.264 0.629
Al 0.736 0.736 0.371
S 0.053 0.436 0.803
S 0.096 0.096 0.277
S 0.436 0.053 0.803
S 0.500 0.500 0.500
S 0.564 0.947 0.197
S 0.904 0.904 0.723
S 0.947 0.564 0.197

Top 10 peaks for 2θ = 10–90°, sorted by position:
6.475 Å, 2θ = 13.68°, intensity 100.0; 5.978 Å, 2θ = 14.82°, intensity 88.1; 4.811 Å, 2θ = 18.44°, intensity 36.4; 4.067 Å, 2θ = 21.86°, intensity 57.5; 3.959 Å, 2θ = 22.46°, intensity 37.4; 3.568 Å, 2θ = 24.96°, intensity 35.4; 3.045 Å, 2θ = 29.33°, intensity 36.8; 2.669 Å, 2θ = 33.58°, intensity 46.3; 2.426 Å, 2θ = 37.06°, intensity 25.8; 2.129 Å, 2θ = 42.45°, intensity 35.5

No. 6
The following is a calculated X-ray powder pattern of TbY2AlS6. It was derived from a structure optimized by DFT (PBE), using Cu Kα (weighted mean of Kα1 and Kα2).
Lines closer than 0.1° are merged.

Cell and atoms:
abc: 7.110 7.110 7.110
angles: 56.57 56.57 56.57
Positions (direct):
Tb 0.000 0.000 0.000
Y 0.293 0.293 0.293
Y 0.796 0.796 0.796
Al 0.495 0.495 0.495
S 0.128 0.699 0.391
S 0.234 0.604 0.857
S 0.391 0.128 0.699
S 0.604 0.857 0.234
S 0.699 0.391 0.128
S 0.857 0.234 0.604

Top 10 peaks for 2θ = 10–90°, sorted by position:
5.547 Å, 2θ = 15.98°, intensity 45.2; 4.885 Å, 2θ = 18.16°, intensity 46.5; 3.545 Å, 2θ = 25.12°, intensity 100.0; 3.369 Å, 2θ = 26.45°, intensity 80.8; 2.932 Å, 2θ = 30.49°, intensity 66.4; 2.442 Å, 2θ = 36.80°, intensity 57.2; 2.230 Å, 2θ = 40.44°, intensity 91.4; 1.977 Å, 2θ = 45.89°, intensity 50.9; 1.945 Å, 2θ = 46.70°, intensity 60.1; 1.708 Å, 2θ = 53.67°, intensity 32.1

No. 7
The following is a calculated X-ray powder pattern of Al3TeS6. It was derived from a structure optimized by DFT (PBE), using Cu Kα (weighted mean of Kα1 and Kα2).
Lines closer than 0.1° are merged.

Cell and atoms:
abc: 6.093 6.251 6.402
angles: 68.58 89.81 72.98
Positions (direct):
Al 0.000 0.000 0.000
Al 0.000 0.500 0.000
Al 0.500 0.000 0.000
Te 0.500 0.500 0.500
S 0.200 0.303 0.724
S 0.207 0.103 0.246
S 0.309 0.662 0.066
S 0.691 0.338 0.934
S 0.793 0.897 0.754
S 0.800 0.697 0.276

Top 10 peaks for 2θ = 10–90°, sorted by position:
5.527 Å, 2θ = 16.04°, intensity 39.3; 5.131 Å, 2θ = 17.28°, intensity 100.0; 4.402 Å, 2θ = 20.17°, intensity 56.1; 4.262 Å, 2θ = 20.84°, intensity 42.4; 3.489 Å, 2θ = 25.53°, intensity 36.1; 2.975 Å, 2θ = 30.04°, intensity 65.2; 2.838 Å, 2θ = 31.53°, intensity 42.8; 2.665 Å, 2θ = 33.63°, intensity 41.5; 2.569 Å, 2θ = 34.93°, intensity 48.3; 2.411 Å, 2θ = 37.30°, intensity 39.0

No. 8
The following is a calculated X-ray powder pattern of AlTeS3. It was derived from a structure optimized by DFT (PBE), using Cu Kα (weighted mean of Kα1 and Kα2).
Lines closer than 0.1° are merged.

Cell and atoms:
abc: 6.427 6.427 6.450
angles: 90.00 90.00 120.00
Positions (direct):
Al 0.000 0.000 0.000
Al 0.000 0.000 0.500
Te 0.667 0.333 0.000
Te 0.667 0.333 0.500
S 0.297 0.006 0.250
S 0.297 0.290 0.750
S 0.710 0.006 0.750
S 0.710 0.703 0.250
S 0.994 0.290 0.250
S 0.994 0.703 0.750

Top 10 peaks for 2θ = 10–90°, sorted by position:
5.566 Å, 2θ = 15.92°, intensity 100.0; 3.213 Å, 2θ = 27.76°, intensity 23.1; 2.876 Å, 2θ = 31.10°, intensity 21.8; 2.788 Å, 2θ = 32.11°, intensity 60.7; 2.276 Å, 2θ = 39.59°, intensity 63.5; 2.105 Å, 2θ = 42.96°, intensity 34.9; 1.855 Å, 2θ = 49.11°, intensity 22.9; 1.762 Å, 2θ = 51.90°, intensity 17.9; 1.438 Å, 2θ = 64.83°, intensity 13.5; 1.392 Å, 2θ = 67.25°, intensity 12.1

No. 9
The following is a calculated X-ray powder pattern of ThAlS. It was derived from a structure optimized by DFT (PBE), using Cu Kα (weighted mean of Kα1 and Kα2).
Lines closer than 0.1° are merged.

Cell and atoms:
abc: 3.796 3.796 9.633
angles: 90.00 90.00 90.00
Positions (direct):
Th 0.250 0.250 0.208
Th 0.750 0.750 0.792
Al 0.250 0.250 0.548
Al 0.750 0.750 0.452
S 0.250 0.250 0.889
S 0.750 0.750 0.111

Top 10 peaks for 2θ = 10–90°, sorted by position:
4.816 Å, 2θ = 18.42°, intensity 40.8; 3.531 Å, 2θ = 25.22°, intensity 100.0; 3.211 Å, 2θ = 27.78°, intensity 21.2; 2.684 Å, 2θ = 33.38°, intensity 58.4; 2.451 Å, 2θ = 36.66°, intensity 49.0; 2.345 Å, 2θ = 38.39°, intensity 27.5; 2.059 Å, 2θ = 43.97°, intensity 24.7; 2.033 Å, 2θ = 44.56°, intensity 21.2; 1.672 Å, 2θ = 54.92°, intensity 25.9; 1.501 Å, 2θ = 61.82°, intensity 21.5

No. 10
The following is a calculated X-ray powder pattern of ThAlS4. It was derived from a structure optimized by DFT (PBE), using Cu Kα (weighted mean of Kα1 and Kα2).
Lines closer than 0.1° are merged.

Cell and atoms:
abc: 5.339 6.391 7.129
angles: 90.00 90.00 90.00
Positions (direct):
Th 0.000 0.000 0.000
Th 0.500 0.000 0.500
Al 0.000 0.500 0.500
Al 0.500 0.500 0.000
S 0.000 0.178 0.359
S 0.000 0.822 0.641
S 0.250 0.325 0.750
S 0.250 0.675 0.250
S 0.500 0.178 0.141
S 0.500 0.822 0.859
S 0.750 0.325 0.750
S 0.750 0.675 0.250

Top 10 peaks for 2θ = 10–90°, sorted by position:
6.391 Å, 2θ = 13.86°, intensity 58.4; 4.273 Å, 2θ = 20.79°, intensity 28.2; 3.554 Å, 2θ = 25.06°, intensity 100.0; 3.113 Å, 2θ = 28.68°, intensity 28.8; 2.559 Å, 2θ = 35.06°, intensity 34.7; 2.463 Å, 2θ = 36.48°, intensity 20.5; 2.379 Å, 2θ = 37.81°, intensity 25.2; 2.137 Å, 2θ = 42.30°, intensity 19.1; 2.056 Å, 2θ = 44.05°, intensity 28.4; 1.907 Å, 2θ = 47.70°, intensity 25.1

No. 11
The following is a calculated X-ray powder pattern of Ti2AlS4. It was derived from a structure optimized by DFT (PBE), using Cu Kα (weighted mean of Kα1 and Kα2).
Lines closer than 0.1° are merged.

Cell and atoms:
abc: 7.165 7.165 7.165
angles: 119.97 119.97 90.04
Positions (direct):
Ti 0.000 0.000 0.000
Ti 0.000 0.000 0.500
Ti 0.000 0.500 0.000
Ti 0.500 0.000 0.500
Al 0.375 0.625 0.750
Al 0.625 0.375 0.250
S 0.238 0.246 0.992
S 0.246 0.238 0.492
S 0.246 0.754 0.008
S 0.246 0.754 0.492
S 0.754 0.246 0.508
S 0.754 0.246 0.992
S 0.754 0.762 0.508
S 0.762 0.754 0.008

Top 10 peaks for 2θ = 10–90°, sorted by position:
5.851 Å, 2θ = 15.14°, intensity 33.3; 3.583 Å, 2θ = 24.85°, intensity 9.9; 3.056 Å, 2θ = 29.23°, intensity 71.7; 2.534 Å, 2θ = 35.43°, intensity 97.7; 1.950 Å, 2θ = 46.56°, intensity 30.2; 1.792 Å, 2θ = 50.97°, intensity 100.0; 1.463 Å, 2θ = 63.61°, intensity 19.3; 1.319 Å, 2θ = 71.50°, intensity 12.4; 1.267 Å, 2θ = 74.97°, intensity 14.8; 1.133 Å, 2θ = 85.74°, intensity 25.0

No. 12
The following is a calculated X-ray powder pattern of Ti6Al3S. It was derived from a structure optimized by DFT (PBE), using Cu Kα (weighted mean of Kα1 and Kα2).
Lines closer than 0.1° are merged.

Cell and atoms:
abc: 5.709 5.709 7.960
angles: 121.82 121.82 56.25
Positions (direct):
Ti 0.153 0.658 0.703
Ti 0.265 0.265 0.088
Ti 0.342 0.847 0.297
Ti 0.658 0.153 0.703
Ti 0.735 0.735 0.912
Ti 0.847 0.342 0.297
Al 0.149 0.149 0.679
Al 0.500 0.500 0.500
Al 0.851 0.851 0.321
S 0.000 0.000 0.000

Top 10 peaks for 2θ = 10–90°, sorted by position:
3.870 Å, 2θ = 22.98°, intensity 17.1; 3.136 Å, 2θ = 28.46°, intensity 17.9; 2.749 Å, 2θ = 32.57°, intensity 25.9; 2.515 Å, 2θ = 35.70°, intensity 14.9; 2.374 Å, 2θ = 37.90°, intensity 100.0; 2.306 Å, 2θ = 39.06°, intensity 16.3; 2.229 Å, 2θ = 40.47°, intensity 26.2; 2.209 Å, 2θ = 40.84°, intensity 29.0; 2.057 Å, 2θ = 44.02°, intensity 26.1; 1.936 Å, 2θ = 46.94°, intensity 16.0

> Which formula does entry 1 have?

AlSn2S6

> Which formula does entry 12 have?

Ti6Al3S